Structure and calculated X-ray diffraction stick pattern of K2Tl2Se2O (DFT lattice parameters and positions (PBE); Cu Kα (λ = 1.5418 Å)).
Peak positions follow from Bragg's law for the DFT cell and can differ from measured ones.

The 6 most intense peaks (2θ from 10° to 90°), sorted by position:
2θ (°)	Rel. int.	hkl
13.4	72.0	2 0 -1
14.5	45.4	2 0 0
27.0	41.8	0 0 2
27.7	45.0	1 1 1
30.1	100.0	3 1 0
31.7	65.3	3 1 -2

Crystal structure
```
data_K2Tl2Se2O
_cell_length_a 14.5151
_cell_length_b 4.3318
_cell_length_c 7.8240
_cell_angle_alpha 90.00
_cell_angle_beta 122.41
_cell_angle_gamma 90.00
_symmetry_space_group_name_H-M 'C 1 2/m 1'
_symmetry_Int_Tables_number 12
loop_
_symmetry_equiv_pos_as_xyz
'x,y,z'
'-x,-y,-z'
'-x,y,-z'
'x,-y,z'
'x+1/2,y+1/2,z'
'-x+1/2,-y+1/2,-z'
'-x+1/2,y+1/2,-z'
'x+1/2,-y+1/2,z'
loop_
_atom_site_label
_atom_site_type_symbol
_atom_site_fract_x
_atom_site_fract_y
_atom_site_fract_z
K1 K 0.0398 0.0000 0.2921
Tl1 Tl 0.1805 0.5000 0.7569
Se1 Se 0.1641 0.5000 0.1302
O1 O 0.0000 0.5000 0.5000
```